Structure and computed powder diffractogram of Ac2Pm3Nd2 (a DFT-relaxed cell (GGA-PBE, Alexandria); a wavelength of 1.5418 Å).

Largest 6 diffraction maxima, sorted by position, 15° ≤ 2θ ≤ 90°:
2θ 29.15, d 3.064, I 35, (1 1 0); 2θ 29.61, d 3.017, I 100, (1 0 3); 2θ 30.27, d 2.953, I 50, (2 0 -1); 2θ 30.95, d 2.889, I 38, (1 1 -2); 2θ 38.84, d 2.318, I 25, (1 1 3); 2θ 59.53, d 1.553, I 32, (1 2 3)

Crystal structure
Unit cell a=5.905 b=3.623 c=12.631 alpha=90.00 beta=103.42 gamma=90.00
Positions (direct):
Ac  0.077  0.000  0.155
Ac  0.923  0.000  0.845
Pm  0.219  0.000  0.439
Pm  0.500  0.000  0.000
Pm  0.781  0.000  0.561
Nd  0.353  0.500  0.706
Nd  0.647  0.500  0.294